Starting from a DFT-relaxed cell (GGA-PBE, Alexandria), the powder XRD pattern of YTm4Se6 was simulated for Cu Kα.
Neutral-atom scattering factors, no anomalous dispersion.

```
22
Lattice="1.975 -6.606 0.000 1.975 6.606 0.000 0.000 0.000 20.526" Properties=species:S:1:pos:R:3 pbc="T T T"
Y 1.975 4.603 15.394
Y 1.975 -4.603 5.131
Tm 1.975 5.413 2.595
Tm 1.975 5.413 7.668
Tm 1.975 1.852 0.777
Tm 1.975 1.852 9.486
Tm 1.975 -1.852 11.040
Tm 1.975 -1.852 19.749
Tm 1.975 -5.413 12.858
Tm 1.975 -5.413 17.931
Se 0.000 0.000 0.000
Se 0.000 0.000 10.263
Se 1.975 4.115 5.131
Se 1.975 3.060 12.110
Se 1.975 3.060 18.678
Se 1.975 0.676 3.390
Se 1.975 0.676 6.873
Se 1.975 -0.676 13.653
Se 1.975 -0.676 17.136
Se 1.975 -3.060 1.847
Se 1.975 -3.060 8.415
Se 1.975 -4.115 15.394
```

Most intense lines, 5° ≤ 2θ ≤ 70°, by angle:
2θ (°), I (rel.)
8.6, 53
25.5, 57
29.4, 45
30.7, 56
31.7, 100
33.2, 80
33.4, 49
42.6, 46
44.8, 34
44.9, 41
46.0, 42
46.9, 29